Entry 1:
For BaPrO3, a DFT-relaxed cell (PBE, the Materials Project) gives the simulated X-ray powder pattern in this record (copper Kα).

The 10 most intense peaks (10° ≤ 2θ ≤ 80°), sorted by position:
d/Å, I (rel.)
3.228, 1000
3.215, 200
2.281, 322
1.864, 386
1.858, 172
1.614, 152
1.444, 104
1.442, 80
1.221, 130
1.218, 47

```
10
Lattice="-3.215 4.569 3.232 3.215 -4.569 3.232 3.215 4.569 -3.232" Properties=species:S:1:pos:R:3 pbc="T T T"
Ba 0.000 2.285 0.124
Ba 3.215 2.285 3.107
Pr 3.215 0.000 0.000
Pr 0.000 0.000 3.232
O 3.215 2.285 -0.654
O 1.607 5.124 -1.616
O 1.607 0.555 1.616
O -1.607 4.014 1.616
O 1.607 4.014 1.616
O 0.000 2.285 3.886
```

---

Entry 2:
For Li3BiO3, a DFT-relaxed cell (PBE, the Materials Project) gives the simulated X-ray powder pattern in this record (copper Kα).

The 10 most intense peaks (10° ≤ 2θ ≤ 80°), sorted by position:
d/Å, I (rel.)
4.676, 694
4.494, 345
4.432, 335
4.331, 569
4.251, 1000
3.279, 497
3.241, 520
3.113, 549
2.639, 298
2.502, 295

```
56
Lattice="9.158 0.000 0.000 0.135 9.376 0.000 2.980 3.996 8.514" Properties=species:S:1:pos:R:3 pbc="T T T"
Li 0.410 3.926 0.931
Li 3.058 5.859 8.035
Li 1.648 9.087 3.794
Li 2.721 11.179 5.340
Li 3.429 8.322 5.587
Li 2.200 9.702 1.362
Li 4.040 3.652 6.698
Li 3.514 5.669 5.074
Li 4.338 9.689 3.023
Li 5.227 7.485 4.243
Li 6.575 3.783 7.809
Li 5.573 3.857 4.769
Li 6.700 9.516 3.745
Li 5.699 9.589 0.705
Li 7.046 5.887 4.271
Li 7.935 3.684 5.491
Li 8.759 7.703 3.440
Li 8.233 9.720 1.816
Li 10.074 3.670 7.152
Li 8.844 5.050 2.927
Li 9.552 2.193 3.174
Li 10.625 4.286 4.720
Li 9.215 7.514 0.479
Li 11.863 9.446 7.583
Bi 2.804 6.939 1.958
Bi 3.216 3.190 2.616
Bi 5.583 10.283 6.794
Bi 5.748 6.639 7.312
Bi 6.525 6.733 1.202
Bi 6.691 3.089 1.720
Bi 9.057 10.183 5.898
Bi 9.469 6.434 6.556
O 1.079 8.152 2.040
O 1.310 4.053 2.696
O 3.705 11.166 7.175
O 3.912 7.755 7.518
O 2.575 10.673 3.074
O 3.295 7.298 3.943
O 3.581 3.682 4.622
O 4.842 4.909 8.076
O 5.133 9.331 4.959
O 3.992 8.555 1.204
O 5.470 5.919 5.379
O 6.431 12.119 6.195
O 5.842 1.253 2.319
O 6.803 7.454 3.135
O 8.281 4.817 7.310
O 7.140 4.041 3.555
O 7.431 8.463 0.439
O 8.693 9.690 3.892
O 8.978 6.074 4.571
O 9.698 2.699 5.440
O 8.361 5.617 0.996
O 8.568 2.206 1.339
O 10.963 9.320 5.819
O 11.194 5.220 6.474
```

---

Entry 3:
For Rb2TbAgCl6, a DFT-relaxed cell (PBE, the Materials Project) gives the simulated X-ray powder pattern in this record (copper Kα).

The 10 most intense peaks (10° ≤ 2θ ≤ 80°), sorted by position:
d/Å, I (rel.)
5.399, 253
3.818, 1000
2.700, 647
2.415, 122
2.204, 464
1.909, 440
1.707, 212
1.559, 147
1.443, 243
1.207, 188

```
10
Lattice="0.000 5.399 5.399 5.399 0.000 5.399 5.399 5.399 0.000" Properties=species:S:1:pos:R:3 pbc="T T T"
Rb 2.700 2.700 2.700
Rb 8.099 8.099 8.099
Tb 0.000 0.000 0.000
Ag 5.399 5.399 5.399
Cl 5.399 5.399 2.647
Cl 5.399 2.647 5.399
Cl 8.151 5.399 5.399
Cl 2.647 5.399 5.399
Cl 5.399 8.151 5.399
Cl 5.399 5.399 8.151
```